For NaBeBr3, a crystal structure in Alexandria, relaxed with GGA-PBE gives the calculated PXRD pattern in this record (a wavelength of 1.5418 Å).
Neutral-atom scattering factors, no anomalous dispersion.

Principal peaks in the range 2θ from 10° to 90°, in order of rising 2θ:
2θ (°)	intensity	index
14.87	25	0 4 0
26.42	35	0 0 2
29.20	100	1 3 1
29.39	41	0 7 1
37.89	20	1 7 1
38.75	24	1 4 2
44.89	18	1 10 0
48.40	19	1 3 3

Structural model:
```
data_NaBeBr3
_chemical_formula_sum 'Na4 Be4 Br12'
_space_group_name_H-M_alt 'A m a 2'
_space_group_IT_number 40
_cell_length_a 3.804
_cell_length_b 23.825
_cell_length_c 6.746
_cell_angle_alpha 90.00
_cell_angle_beta 90.00
_cell_angle_gamma 90.00
loop_
_space_group_symop_operation_xyz
'x,y,z'
'-x,-y,z'
'-x+1/2,y,z'
'x+1/2,-y,z'
'x,y+1/2,z+1/2'
'-x,-y+1/2,z+1/2'
'-x+1/2,y+1/2,z+1/2'
'x+1/2,-y+1/2,z+1/2'
loop_
_atom_site_label
_atom_site_type_symbol
_atom_site_fract_x
_atom_site_fract_y
_atom_site_fract_z
_atom_site_occupancy
Na1 Na 0.250 0.177 0.000 1
Be1 Be 0.250 0.376 0.943 1
Br1 Br 0.250 0.081 0.321 1
Br2 Br 0.250 0.291 0.815 1
Br3 Br 0.250 0.383 0.258 1
```



For Li2Zn5Ir, a crystal structure in Alexandria, relaxed with GGA-PBE gives the calculated PXRD pattern in this record (a wavelength of 1.5418 Å).
Neutral-atom scattering factors, no anomalous dispersion.

Principal peaks in the range 2θ from 10° to 90°, in order of rising 2θ:
2θ (°)	intensity	index
20.36	67	1 1 0
20.84	27	1 0 1
36.79	30	1 1 2
41.41	54	2 2 0
42.41	100	2 0 2
56.57	17	3 1 2
60.00	17	4 0 0
76.21	33	4 2 2

Structural model:
```
data_Li2Zn5Ir
_chemical_formula_sum 'Li4 Zn10 Ir2'
_space_group_name_H-M_alt 'I 4 m m'
_space_group_IT_number 107
_space_group_name_Hall 'I 4 -2'
_cell_length_a 6.168
_cell_length_b 6.168
_cell_length_c 5.899
_cell_angle_alpha 90.00
_cell_angle_beta 90.00
_cell_angle_gamma 90.00
loop_
_atom_site_label
_atom_site_type_symbol
_atom_site_fract_x
_atom_site_fract_y
_atom_site_fract_z
_atom_site_occupancy
Li1 Li 0.000 0.500 0.000 1
Zn1 Zn 0.000 0.000 0.000 1
Zn2 Zn 0.250 0.250 0.250 1
Ir1 Ir 0.000 0.000 0.500 1
```



For KBa2Ir3O12, a crystal structure in Alexandria, relaxed with GGA-PBE gives the calculated PXRD pattern in this record (a wavelength of 1.5418 Å).
Neutral-atom scattering factors, no anomalous dispersion.

Principal peaks in the range 2θ from 10° to 90°, in order of rising 2θ:
2θ (°)	intensity	index
15.47	54	0 0 3
25.05	31	1 0 4
28.68	100	0 2 1
28.98	44	1 1 3
29.57	29	0 1 5
30.09	58	2 0 2
49.91	35	2 2 0
71.46	18	2 2 9

Structural model:
```
data_KBa2Ir3O12
_chemical_formula_sum 'K3 Ba6 Ir9 O36'
_space_group_name_H-M_alt 'R -3 m'
_space_group_IT_number 166
_space_group_name_Hall '-R 3 2"'
_cell_length_a 7.3089
_cell_length_b 7.3089
_cell_length_c 17.1861
_cell_angle_alpha 90.00
_cell_angle_beta 90.00
_cell_angle_gamma 120.00
loop_
_atom_site_label
_atom_site_type_symbol
_atom_site_fract_x
_atom_site_fract_y
_atom_site_fract_z
_atom_site_occupancy
K1 K 0.0000 0.0000 0.0000 1
Ba1 Ba 0.0000 0.0000 0.3928 1
Ir1 Ir 0.0000 0.5000 0.5000 1
O1 O 0.0528 0.5264 0.8128 1
O2 O 0.0713 0.5357 0.3965 1
```



For PaMnB2, a crystal structure in Alexandria, relaxed with GGA-PBE gives the calculated PXRD pattern in this record (a wavelength of 1.5418 Å).
Neutral-atom scattering factors, no anomalous dispersion.

Principal peaks in the range 2θ from 10° to 90°, in order of rising 2θ:
2θ (°)	intensity	index
26.50	51	0 2 1
28.35	100	1 1 1
34.63	66	1 3 0
38.89	22	2 0 0
42.89	19	0 4 1
43.34	27	1 1 2
47.68	28	2 2 1
56.25	16	1 5 1

Structural model:
```
data_PaMnB2
_chemical_formula_sum 'Pa4 Mn4 B8'
_space_group_name_H-M_alt 'C m c m'
_space_group_IT_number 63
_space_group_name_Hall '-C 2c 2'
_cell_length_a 4.631
_cell_length_b 9.376
_cell_length_c 4.830
_cell_angle_alpha 90.00
_cell_angle_beta 90.00
_cell_angle_gamma 90.00
loop_
_atom_site_label
_atom_site_type_symbol
_atom_site_fract_x
_atom_site_fract_y
_atom_site_fract_z
_atom_site_occupancy
Pa1 Pa 0.000 0.167 0.250 1
Mn1 Mn 0.000 0.500 0.000 1
B1 B 0.181 0.094 0.750 1
```



For NdScIn3, a crystal structure in Alexandria, relaxed with GGA-PBE gives the calculated PXRD pattern in this record (a wavelength of 1.5418 Å).
Neutral-atom scattering factors, no anomalous dispersion.

Principal peaks in the range 2θ from 10° to 90°, in order of rising 2θ:
2θ (°)	intensity	index
28.39	33	0 0 2
28.99	15	2 0 0
31.97	13	1 0 2
32.37	100	2 0 1
41.03	26	2 0 2
46.53	13	3 0 1
51.39	14	2 2 0
52.84	24	2 0 3

Structural model:
```
data_NdScIn3
_chemical_formula_sum 'Nd2 Sc2 In6'
_space_group_name_H-M_alt 'P 63/m m c'
_space_group_IT_number 194
_space_group_name_Hall '-P 6c 2c'
_cell_length_a 7.1126
_cell_length_b 7.1126
_cell_length_c 6.2865
_cell_angle_alpha 90.00
_cell_angle_beta 90.00
_cell_angle_gamma 120.00
loop_
_atom_site_label
_atom_site_type_symbol
_atom_site_fract_x
_atom_site_fract_y
_atom_site_fract_z
_atom_site_occupancy
Nd1 Nd 0.3333 0.6667 0.2500 1
Sc1 Sc 0.0000 0.0000 0.0000 1
In1 In 0.1973 0.3947 0.7500 1
```



For K4TlI6, a crystal structure in Alexandria, relaxed with GGA-PBE gives the calculated PXRD pattern in this record (a wavelength of 1.5418 Å).
Neutral-atom scattering factors, no anomalous dispersion.

Principal peaks in the range 2θ from 10° to 90°, in order of rising 2θ:
2θ (°)	intensity	index
10.86	44	0 2 1
23.24	100	0 2 6
24.22	32	1 1 4
25.65	97	1 3 2
26.82	57	1 3 3
34.36	53	1 1 8
38.78	39	2 0 0
45.70	40	2 2 6

Structural model:
```
data_K4TlI6
_chemical_formula_sum 'K16 Tl4 I24'
_space_group_name_H-M_alt 'C m c m'
_space_group_IT_number 63
_space_group_name_Hall '-C 2c 2'
_cell_length_a 4.645
_cell_length_b 17.181
_cell_length_c 25.648
_cell_angle_alpha 90.00
_cell_angle_beta 90.00
_cell_angle_gamma 90.00
loop_
_atom_site_label
_atom_site_type_symbol
_atom_site_fract_x
_atom_site_fract_y
_atom_site_fract_z
_atom_site_occupancy
K1 K 0.000 0.091 0.131 1
K2 K 0.000 0.359 0.041 1
Tl1 Tl 0.000 0.146 0.750 1
I1 I 0.000 0.000 0.000 1
I2 I 0.000 0.214 0.250 1
I3 I 0.000 0.278 0.585 1
I4 I 0.000 0.440 0.169 1
```



For Sc2Zn5Sn, a crystal structure in Alexandria, relaxed with GGA-PBE gives the calculated PXRD pattern in this record (a wavelength of 1.5418 Å).
Neutral-atom scattering factors, no anomalous dispersion.

Principal peaks in the range 2θ from 10° to 90°, in order of rising 2θ:
2θ (°)	intensity	index
22.31	63	1 1 0
30.05	53	1 1 2
34.11	100	1 3 2
35.72	64	1 5 0
37.69	89	1 1 3
43.98	81	2 0 0
45.87	68	0 6 3
47.31	53	1 5 3

Structural model:
```
data_Sc2Zn5Sn
_chemical_formula_sum 'Sc8 Zn20 Sn4'
_space_group_name_H-M_alt 'C m c m'
_space_group_IT_number 63
_space_group_name_Hall '-C 2c 2'
_cell_length_a 4.117
_cell_length_b 15.869
_cell_length_c 8.941
_cell_angle_alpha 90.00
_cell_angle_beta 90.00
_cell_angle_gamma 90.00
loop_
_atom_site_label
_atom_site_type_symbol
_atom_site_fract_x
_atom_site_fract_y
_atom_site_fract_z
_atom_site_occupancy
Sc1 Sc 0.000 0.000 0.000 1
Sc2 Sc 0.000 0.194 0.250 1
Zn1 Zn 0.000 0.196 0.605 1
Zn2 Zn 0.000 0.352 0.526 1
Zn3 Zn 0.000 0.379 0.250 1
Sn1 Sn 0.000 0.458 0.750 1
```



For ZnHPd3, a crystal structure in Alexandria, relaxed with GGA-PBE gives the calculated PXRD pattern in this record (a wavelength of 1.5418 Å).
Neutral-atom scattering factors, no anomalous dispersion.

Principal peaks in the range 2θ from 10° to 90°, in order of rising 2θ:
2θ (°)	intensity	index
39.38	100	1 1 4
43.25	20	0 2 0
43.49	20	2 0 0
50.35	10	0 0 8
63.01	13	2 2 0
76.72	13	1 3 4
77.06	13	3 1 4
84.73	8	2 2 8

Structural model:
```
data_ZnHPd3
_chemical_formula_sum 'Zn4 H4 Pd12'
_space_group_name_H-M_alt 'I 21 21 21'
_space_group_IT_number 24
_cell_length_a 4.162
_cell_length_b 4.184
_cell_length_c 14.497
_cell_angle_alpha 90.00
_cell_angle_beta 90.00
_cell_angle_gamma 90.00
loop_
_space_group_symop_operation_xyz
'x,y,z'
'-x,-y+1/2,z'
'x,-y,-z+1/2'
'-x,y+1/2,-z+1/2'
'x+1/2,y+1/2,z+1/2'
'-x+1/2,-y,z+1/2'
'x+1/2,-y+1/2,-z'
'-x+1/2,y,-z'
loop_
_atom_site_label
_atom_site_type_symbol
_atom_site_fract_x
_atom_site_fract_y
_atom_site_fract_z
_atom_site_occupancy
Zn1 Zn 0.244 0.000 0.250 1
H1 H 0.000 0.250 0.436 1
Pd1 Pd 0.243 0.496 0.860 1
Pd2 Pd 0.250 0.017 0.000 1
```



Please write out number 4 again, unchanged.
For PaMnB2, a crystal structure in Alexandria, relaxed with GGA-PBE gives the calculated PXRD pattern in this record (a wavelength of 1.5418 Å).
Neutral-atom scattering factors, no anomalous dispersion.

Principal peaks in the range 2θ from 10° to 90°, in order of rising 2θ:
2θ (°)	intensity	index
26.50	51	0 2 1
28.35	100	1 1 1
34.63	66	1 3 0
38.89	22	2 0 0
42.89	19	0 4 1
43.34	27	1 1 2
47.68	28	2 2 1
56.25	16	1 5 1

Structural model:
```
data_PaMnB2
_chemical_formula_sum 'Pa4 Mn4 B8'
_space_group_name_H-M_alt 'C m c m'
_space_group_IT_number 63
_space_group_name_Hall '-C 2c 2'
_cell_length_a 4.631
_cell_length_b 9.376
_cell_length_c 4.830
_cell_angle_alpha 90.00
_cell_angle_beta 90.00
_cell_angle_gamma 90.00
loop_
_atom_site_label
_atom_site_type_symbol
_atom_site_fract_x
_atom_site_fract_y
_atom_site_fract_z
_atom_site_occupancy
Pa1 Pa 0.000 0.167 0.250 1
Mn1 Mn 0.000 0.500 0.000 1
B1 B 0.181 0.094 0.750 1
```



- What is the formula in the seventh record?
  Sc2Zn5Sn